MgFe3Co2SbP6O24: theoretical PXRD pattern (Cu Kα), based on the GGA+U geometry in the Materials Project.
Kinematic intensities with the Lorentz-polarization factor, no thermal factor.

Crystal structure
```
data_MgFe3Co2SbP6O24
_chemical_formula_sum 'Mg1 Fe3 Co2 Sb1 P6 O24'
_symmetry_space_group_name_H-M 'P 1'
_symmetry_Int_Tables_number 1
_cell_length_a 8.509
_cell_length_b 8.611
_cell_length_c 8.670
_cell_angle_alpha 61.11
_cell_angle_beta 61.49
_cell_angle_gamma 61.81
loop_
_symmetry_equiv_pos_as_xyz
'x,y,z'
loop_
_atom_site_label
_atom_site_fract_x
_atom_site_fract_y
_atom_site_fract_z
_atom_site_occupancy
Mg1 0.000 0.000 0.000 1
Fe1 0.126 0.484 0.706 1
Fe2 0.619 0.978 0.219 1
Fe3 0.915 0.266 0.500 1
Co1 0.283 0.589 0.842 1
Co2 0.759 0.119 0.375 1
Sb1 0.420 0.758 0.005 1
P1 0.023 0.667 0.318 1
P2 0.211 0.163 0.114 1
P3 0.313 0.079 0.608 1
P4 0.535 0.567 0.401 1
P5 0.729 0.387 0.888 1
P6 0.834 0.880 0.812 1
O1 0.015 0.715 0.797 1
O2 0.016 0.179 0.269 1
O3 0.106 0.641 0.449 1
O4 0.160 0.099 0.548 1
O5 0.173 0.701 0.102 1
O6 0.207 0.350 0.953 1
O7 0.224 0.002 0.054 1
O8 0.245 0.217 0.704 1
O9 0.333 0.872 0.773 1
O10 0.375 0.094 0.176 1
O11 0.375 0.561 0.589 1
O12 0.464 0.596 0.244 1
O13 0.508 0.072 0.456 1
O14 0.512 0.525 0.934 1
O15 0.618 0.715 0.338 1
O16 0.642 0.837 0.885 1
O17 0.682 0.368 0.420 1
O18 0.751 0.214 0.070 1
O19 0.758 0.327 0.735 1
O20 0.822 0.953 0.948 1
O21 0.829 0.032 0.619 1
O22 0.850 0.496 0.838 1
O23 0.874 0.869 0.283 1
O24 0.971 0.505 0.352 1
```

Main lines, low angle first (2θ from 15° to 90°):
two_theta	I_rel	hkl
20.21	100	0 1 -1
23.84	39	1 0 2
24.10	16	1 2 0
24.24	18	2 1 0
32.52	17	1 2 3
32.75	13	2 1 3
33.09	25	3 1 2
33.28	13	3 2 1
35.39	54	-2 1 1
55.31	18	1 -3 2

***

MgFe3Co2SbP6O24: theoretical PXRD pattern (Cu Kα), based on the GGA+U geometry in the Materials Project.
Kinematic intensities with the Lorentz-polarization factor, no thermal factor.

Crystal structure
```
data_MgFe3Co2SbP6O24
_chemical_formula_sum 'Mg1 Fe3 Co2 Sb1 P6 O24'
_symmetry_space_group_name_H-M 'P 1'
_symmetry_Int_Tables_number 1
_cell_length_a 8.694
_cell_length_b 8.731
_cell_length_c 8.736
_cell_angle_alpha 60.26
_cell_angle_beta 60.39
_cell_angle_gamma 60.42
loop_
_symmetry_equiv_pos_as_xyz
'x,y,z'
loop_
_atom_site_label
_atom_site_fract_x
_atom_site_fract_y
_atom_site_fract_z
_atom_site_occupancy
Mg1 0.000 0.000 0.000 1
Fe1 0.276 0.273 0.272 1
Fe2 0.761 0.759 0.760 1
Fe3 0.881 0.877 0.877 1
Co1 0.135 0.132 0.131 1
Co2 0.632 0.628 0.624 1
Sb1 0.481 0.479 0.479 1
P1 0.081 0.675 0.371 1
P2 0.179 0.573 0.875 1
P3 0.373 0.078 0.676 1
P4 0.575 0.875 0.175 1
P5 0.678 0.372 0.079 1
P6 0.878 0.176 0.572 1
O1 0.013 0.630 0.811 1
O2 0.026 0.199 0.380 1
O3 0.071 0.875 0.233 1
O4 0.128 0.535 0.292 1
O5 0.137 0.739 0.925 1
O6 0.201 0.380 0.023 1
O7 0.229 0.619 0.462 1
O8 0.234 0.069 0.875 1
O9 0.293 0.126 0.535 1
O10 0.374 0.565 0.704 1
O11 0.382 0.022 0.198 1
O12 0.463 0.228 0.619 1
O13 0.537 0.885 0.682 1
O14 0.538 0.290 0.126 1
O15 0.568 0.704 0.369 1
O16 0.620 0.462 0.228 1
O17 0.633 0.811 0.010 1
O18 0.683 0.535 0.885 1
O19 0.707 0.370 0.564 1
O20 0.742 0.926 0.133 1
O21 0.814 0.011 0.630 1
O22 0.878 0.233 0.070 1
O23 0.885 0.681 0.535 1
O24 0.927 0.134 0.740 1
```

Main lines, low angle first (2θ from 15° to 90°):
two_theta	I_rel	hkl
20.26	100	1 -1 0
23.83	57	0 1 2
23.92	36	2 0 1
31.47	16	2 -1 0
32.39	17	1 2 3
32.51	17	2 3 1
35.47	42	1 1 -2
46.38	11	1 3 4
46.58	17	4 1 3
55.46	27	-3 2 1